Diffraction record for Cs7NbAs4. The PXRD pattern is simulated, not measured: it uses a crystal structure in OQMD, relaxed with PBE and Cu Kα (λ = 1.5418 Å).
Neutral-atom scattering factors, no anomalous dispersion.

Largest 10 diffraction maxima, sorted by position, 15° ≤ 2θ ≤ 90°:
25.72°, I = 77; 26.46°, I = 43; 26.77°, I = 100; 28.36°, I = 18; 29.48°, I = 35; 30.91°, I = 27; 31.04°, I = 53; 31.36°, I = 19; 31.87°, I = 44; 49.86°, I = 42

Crystal structure
```
data_Cs7NbAs4
_cell_length_a 11.2386
_cell_length_b 10.0662
_cell_length_c 9.0663
_cell_angle_alpha 90.00
_cell_angle_beta 90.00
_cell_angle_gamma 90.00
_space_group_name_H-M_alt 'P 1'
_space_group_IT_number 1
loop_
_space_group_symop_operation_xyz
'x,y,z'
loop_
_atom_site_label
_atom_site_type_symbol
_atom_site_fract_x
_atom_site_fract_y
_atom_site_fract_z
Cs1 Cs 0.0000 0.0262 0.0055
Cs2 Cs 0.0000 0.3418 0.7883
Cs3 Cs 0.0000 0.8881 0.5173
Cs4 Cs 0.2100 0.5322 0.5000
Cs5 Cs 0.2149 0.1686 0.3326
Cs6 Cs 0.2851 0.8314 0.8326
Cs7 Cs 0.2900 0.4678 0.0000
Cs8 Cs 0.5000 0.1119 0.0173
Cs9 Cs 0.5000 0.6582 0.2883
Cs10 Cs 0.5000 0.9738 0.5055
Cs11 Cs 0.7100 0.4678 0.0000
Cs12 Cs 0.7149 0.8314 0.8326
Cs13 Cs 0.7851 0.1686 0.3326
Cs14 Cs 0.7900 0.5322 0.5000
Nb1 Nb 0.0000 0.6719 0.1224
Nb2 Nb 0.5000 0.3281 0.6224
As1 As 0.0000 0.4294 0.1959
As2 As 0.0000 0.6829 0.8445
As3 As 0.1865 0.7939 0.2110
As4 As 0.3135 0.2061 0.7110
As5 As 0.5000 0.3171 0.3445
As6 As 0.5000 0.5706 0.6959
As7 As 0.6865 0.2061 0.7110
As8 As 0.8135 0.7939 0.2110
```

=====

Diffraction record for CsAsPtO. The PXRD pattern is simulated, not measured: it uses a crystal structure in OQMD, relaxed with PBE and Cu Kα (λ = 1.5418 Å).
Neutral-atom scattering factors, no anomalous dispersion.

Largest 10 diffraction maxima, sorted by position, 15° ≤ 2θ ≤ 90°:
25.70°, I = 48; 27.20°, I = 97; 29.30°, I = 99; 30.21°, I = 100; 31.82°, I = 46; 35.46°, I = 62; 47.46°, I = 26; 49.86°, I = 73; 50.07°, I = 31; 57.30°, I = 32

Crystal structure
```
data_CsAsPtO
_cell_length_a 3.8312
_cell_length_b 6.3355
_cell_length_c 8.2840
_cell_angle_alpha 90.00
_cell_angle_beta 90.00
_cell_angle_gamma 90.00
_space_group_name_H-M_alt 'P 1'
_space_group_IT_number 1
loop_
_space_group_symop_operation_xyz
'x,y,z'
loop_
_atom_site_label
_atom_site_type_symbol
_atom_site_fract_x
_atom_site_fract_y
_atom_site_fract_z
Cs1 Cs 0.0000 0.1358 0.0000
Cs2 Cs 0.0000 0.8642 0.5000
As1 As 0.5000 0.3463 0.6495
As2 As 0.5000 0.6537 0.1495
Pt1 Pt 0.5000 0.3811 0.3502
Pt2 Pt 0.5000 0.6189 0.8502
O1 O 0.0000 0.2991 0.3354
O2 O 0.0000 0.7009 0.8354
```

=====

Diffraction record for CsZnAsO. The PXRD pattern is simulated, not measured: it uses a crystal structure in OQMD, relaxed with PBE and Cu Kα (λ = 1.5418 Å).
Neutral-atom scattering factors, no anomalous dispersion.

Largest 10 diffraction maxima, sorted by position, 15° ≤ 2θ ≤ 90°:
24.43°, I = 57; 28.83°, I = 72; 29.26°, I = 47; 29.70°, I = 24; 31.30°, I = 46; 32.52°, I = 100; 35.72°, I = 59; 48.44°, I = 35; 50.86°, I = 63; 54.52°, I = 23

Crystal structure
```
data_CsZnAsO
_cell_length_a 3.2908
_cell_length_b 9.1557
_cell_length_c 6.0160
_cell_angle_alpha 90.00
_cell_angle_beta 90.00
_cell_angle_gamma 90.00
_space_group_name_H-M_alt 'P 1'
_space_group_IT_number 1
loop_
_space_group_symop_operation_xyz
'x,y,z'
loop_
_atom_site_label
_atom_site_type_symbol
_atom_site_fract_x
_atom_site_fract_y
_atom_site_fract_z
Cs1 Cs 0.0000 0.1555 0.0000
Cs2 Cs 0.0000 0.8445 0.5000
Zn1 Zn 0.5000 0.2695 0.5012
Zn2 Zn 0.5000 0.7305 0.0012
As1 As 0.5000 0.4983 0.7606
As2 As 0.5000 0.5017 0.2606
O1 O 0.0000 0.1605 0.5029
O2 O 0.0000 0.8395 0.0029
```

=====

Diffraction record for CsAs5Pd3. The PXRD pattern is simulated, not measured: it uses a crystal structure in OQMD, relaxed with PBE and Cu Kα (λ = 1.5418 Å).
Neutral-atom scattering factors, no anomalous dispersion.

Largest 10 diffraction maxima, sorted by position, 15° ≤ 2θ ≤ 90°:
21.37°, I = 52; 28.42°, I = 44; 32.26°, I = 41; 37.44°, I = 29; 39.03°, I = 33; 43.52°, I = 100; 43.62°, I = 24; 55.24°, I = 30; 67.52°, I = 23; 83.86°, I = 36

Crystal structure
```
data_CsAs5Pd3
_cell_length_a 5.5498
_cell_length_b 5.5498
_cell_length_c 8.2993
_cell_angle_alpha 90.00
_cell_angle_beta 90.00
_cell_angle_gamma 120.00
_space_group_name_H-M_alt 'P 1'
_space_group_IT_number 1
loop_
_space_group_symop_operation_xyz
'x,y,z'
loop_
_atom_site_label
_atom_site_type_symbol
_atom_site_fract_x
_atom_site_fract_y
_atom_site_fract_z
Cs1 Cs 0.0000 0.0000 0.0000
As1 As 0.0000 0.0000 0.5000
As2 As 0.3333 0.6667 0.2595
As3 As 0.3333 0.6667 0.7405
As4 As 0.6667 0.3333 0.2595
As5 As 0.6667 0.3333 0.7405
Pd1 Pd 0.0000 0.5000 0.5000
Pd2 Pd 0.5000 0.0000 0.5000
Pd3 Pd 0.5000 0.5000 0.5000
```

=====

Diffraction record for CsAs2PdPt. The PXRD pattern is simulated, not measured: it uses a crystal structure in OQMD, relaxed with PBE and Cu Kα (λ = 1.5418 Å).
Neutral-atom scattering factors, no anomalous dispersion.

Largest 10 diffraction maxima, sorted by position, 15° ≤ 2θ ≤ 90°:
20.69°, I = 31; 26.71°, I = 72; 27.52°, I = 39; 28.73°, I = 65; 29.21°, I = 100; 33.02°, I = 50; 40.58°, I = 79; 42.43°, I = 33; 46.05°, I = 59; 48.44°, I = 51

Crystal structure
```
data_CsAs2PdPt
_cell_length_a 5.7602
_cell_length_b 7.0225
_cell_length_c 7.0849
_cell_angle_alpha 90.00
_cell_angle_beta 109.61
_cell_angle_gamma 90.00
_space_group_name_H-M_alt 'P 1'
_space_group_IT_number 1
loop_
_space_group_symop_operation_xyz
'x,y,z'
loop_
_atom_site_label
_atom_site_type_symbol
_atom_site_fract_x
_atom_site_fract_y
_atom_site_fract_z
Cs1 Cs 0.0000 0.0000 0.0000
Cs2 Cs 0.5000 0.5000 0.0000
As1 As 0.1267 0.4989 0.3541
As2 As 0.3733 0.9989 0.6459
As3 As 0.6267 0.9989 0.3541
As4 As 0.8733 0.4989 0.6459
Pd1 Pd 0.0000 0.2026 0.5000
Pd2 Pd 0.5000 0.7026 0.5000
Pt1 Pt 0.0000 0.7979 0.5000
Pt2 Pt 0.5000 0.2979 0.5000
```

=====

Diffraction record for Cs2RbAs2Pd3. The PXRD pattern is simulated, not measured: it uses a crystal structure in OQMD, relaxed with PBE and Cu Kα (λ = 1.5418 Å).
Neutral-atom scattering factors, no anomalous dispersion.

Largest 10 diffraction maxima, sorted by position, 15° ≤ 2θ ≤ 90°:
26.22°, I = 100; 29.55°, I = 54; 32.87°, I = 33; 34.50°, I = 47; 35.21°, I = 30; 37.96°, I = 30; 38.36°, I = 63; 50.44°, I = 32; 61.34°, I = 29; 82.14°, I = 24

Crystal structure
```
data_Cs2RbAs2Pd3
_cell_length_a 8.2244
_cell_length_b 8.2244
_cell_length_c 8.2244
_cell_angle_alpha 43.13
_cell_angle_beta 43.13
_cell_angle_gamma 43.13
_space_group_name_H-M_alt 'P 1'
_space_group_IT_number 1
loop_
_space_group_symop_operation_xyz
'x,y,z'
loop_
_atom_site_label
_atom_site_type_symbol
_atom_site_fract_x
_atom_site_fract_y
_atom_site_fract_z
Cs1 Cs 0.0876 0.0876 0.0876
Cs2 Cs 0.9124 0.9124 0.9124
Rb1 Rb 0.5000 0.5000 0.5000
As1 As 0.2550 0.2550 0.2550
As2 As 0.7450 0.7450 0.7450
Pd1 Pd 0.0000 0.5000 0.5000
Pd2 Pd 0.5000 0.0000 0.5000
Pd3 Pd 0.5000 0.5000 0.0000
```

=====

Diffraction record for CsPrAsSe3. The PXRD pattern is simulated, not measured: it uses a crystal structure in OQMD, relaxed with PBE and Cu Kα (λ = 1.5418 Å).
Neutral-atom scattering factors, no anomalous dispersion.

Largest 10 diffraction maxima, sorted by position, 15° ≤ 2θ ≤ 90°:
18.73°, I = 31; 26.44°, I = 100; 27.47°, I = 73; 29.52°, I = 77; 30.32°, I = 44; 35.58°, I = 29; 40.02°, I = 93; 46.17°, I = 30; 46.87°, I = 23; 50.48°, I = 34

Crystal structure
```
data_CsPrAsSe3
_cell_length_a 7.9393
_cell_length_b 7.9393
_cell_length_c 12.1042
_cell_angle_alpha 90.00
_cell_angle_beta 90.00
_cell_angle_gamma 147.01
_space_group_name_H-M_alt 'P 1'
_space_group_IT_number 1
loop_
_space_group_symop_operation_xyz
'x,y,z'
loop_
_atom_site_label
_atom_site_type_symbol
_atom_site_fract_x
_atom_site_fract_y
_atom_site_fract_z
Cs1 Cs 0.2288 0.7712 0.7500
Cs2 Cs 0.7712 0.2288 0.2500
Pr1 Pr 0.5000 0.5000 0.0000
Pr2 Pr 0.5000 0.5000 0.5000
As1 As 0.0729 0.9271 0.2500
As2 As 0.9271 0.0729 0.7500
Se1 Se 0.1264 0.8736 0.0348
Se2 Se 0.1264 0.8736 0.4652
Se3 Se 0.4893 0.5107 0.2500
Se4 Se 0.5107 0.4893 0.7500
Se5 Se 0.8736 0.1264 0.5348
Se6 Se 0.8736 0.1264 0.9652
```

=====

Diffraction record for Cs4As2Pt. The PXRD pattern is simulated, not measured: it uses a crystal structure in OQMD, relaxed with PBE and Cu Kα (λ = 1.5418 Å).
Neutral-atom scattering factors, no anomalous dispersion.

Largest 10 diffraction maxima, sorted by position, 15° ≤ 2θ ≤ 90°:
16.80°, I = 22; 22.60°, I = 51; 27.24°, I = 28; 28.82°, I = 100; 36.93°, I = 14; 38.11°, I = 13; 47.14°, I = 14; 47.50°, I = 14; 51.06°, I = 20; 59.69°, I = 13

Crystal structure
```
data_Cs4As2Pt
_cell_length_a 10.2828
_cell_length_b 10.2828
_cell_length_c 10.2828
_cell_angle_alpha 35.07
_cell_angle_beta 35.07
_cell_angle_gamma 35.07
_space_group_name_H-M_alt 'P 1'
_space_group_IT_number 1
loop_
_space_group_symop_operation_xyz
'x,y,z'
loop_
_atom_site_label
_atom_site_type_symbol
_atom_site_fract_x
_atom_site_fract_y
_atom_site_fract_z
Cs1 Cs 0.1301 0.1301 0.1301
Cs2 Cs 0.2901 0.2901 0.2901
Cs3 Cs 0.7099 0.7099 0.7099
Cs4 Cs 0.8699 0.8699 0.8699
As1 As 0.4180 0.4180 0.4180
As2 As 0.5820 0.5820 0.5820
Pt1 Pt 0.5000 0.5000 0.5000
```

=====

Diffraction record for Cs2As2Pt3. The PXRD pattern is simulated, not measured: it uses a crystal structure in OQMD, relaxed with PBE and Cu Kα (λ = 1.5418 Å).
Neutral-atom scattering factors, no anomalous dispersion.

Largest 10 diffraction maxima, sorted by position, 15° ≤ 2θ ≤ 90°:
15.90°, I = 20; 23.76°, I = 24; 29.84°, I = 18; 31.63°, I = 60; 37.73°, I = 78; 40.67°, I = 100; 41.51°, I = 38; 52.74°, I = 21; 56.68°, I = 24; 72.08°, I = 24

Crystal structure
```
data_Cs2As2Pt3
_cell_length_a 11.4369
_cell_length_b 11.4369
_cell_length_c 11.4369
_cell_angle_alpha 22.37
_cell_angle_beta 22.37
_cell_angle_gamma 22.37
_space_group_name_H-M_alt 'P 1'
_space_group_IT_number 1
loop_
_space_group_symop_operation_xyz
'x,y,z'
loop_
_atom_site_label
_atom_site_type_symbol
_atom_site_fract_x
_atom_site_fract_y
_atom_site_fract_z
Cs1 Cs 0.0000 0.0000 0.0000
Cs2 Cs 0.4272 0.4272 0.4272
As1 As 0.1741 0.1741 0.1741
As2 As 0.5992 0.5992 0.5992
Pt1 Pt 0.2546 0.2546 0.2546
Pt2 Pt 0.5222 0.5222 0.5222
Pt3 Pt 0.8874 0.8874 0.8874
```

=====

Diffraction record for Cu7As. The PXRD pattern is simulated, not measured: it uses a crystal structure in OQMD, relaxed with PBE and Cu Kα (λ = 1.5418 Å).
Neutral-atom scattering factors, no anomalous dispersion.

Largest 10 diffraction maxima, sorted by position, 15° ≤ 2θ ≤ 90°:
39.18°, I = 6; 40.25°, I = 9; 42.68°, I = 100; 44.03°, I = 84; 50.21°, I = 59; 51.06°, I = 18; 73.73°, I = 17; 74.42°, I = 21; 89.12°, I = 21; 89.53°, I = 8

Crystal structure
```
data_Cu7As
_cell_length_a 2.5703
_cell_length_b 2.5703
_cell_length_c 41.1407
_cell_angle_alpha 90.00
_cell_angle_beta 90.00
_cell_angle_gamma 90.00
_space_group_name_H-M_alt 'P 1'
_space_group_IT_number 1
loop_
_space_group_symop_operation_xyz
'x,y,z'
loop_
_atom_site_label
_atom_site_type_symbol
_atom_site_fract_x
_atom_site_fract_y
_atom_site_fract_z
Cu1 Cu 0.2500 0.2500 0.0209
Cu2 Cu 0.2500 0.2500 0.1060
Cu3 Cu 0.2500 0.2500 0.1936
Cu4 Cu 0.2500 0.2500 0.2828
Cu5 Cu 0.2500 0.2500 0.7621
Cu6 Cu 0.2500 0.2500 0.8506
Cu7 Cu 0.2500 0.2500 0.9370
Cu8 Cu 0.7500 0.7500 0.0630
Cu9 Cu 0.7500 0.7500 0.1494
Cu10 Cu 0.7500 0.7500 0.2379
Cu11 Cu 0.7500 0.7500 0.7172
Cu12 Cu 0.7500 0.7500 0.8064
Cu13 Cu 0.7500 0.7500 0.8940
Cu14 Cu 0.7500 0.7500 0.9791
As1 As 0.2500 0.2500 0.6670
As2 As 0.7500 0.7500 0.3330
```

=====

Diffraction record for Cu15As. The PXRD pattern is simulated, not measured: it uses a crystal structure in OQMD, relaxed with PBE and Cu Kα (λ = 1.5418 Å).
Neutral-atom scattering factors, no anomalous dispersion.

Largest 10 diffraction maxima, sorted by position, 15° ≤ 2θ ≤ 90°:
42.60°, I = 66; 43.90°, I = 100; 49.83°, I = 18; 50.62°, I = 45; 50.72°, I = 8; 52.15°, I = 8; 73.77°, I = 20; 74.41°, I = 15; 75.64°, I = 9; 89.68°, I = 7

Crystal structure
```
data_Cu15As
_cell_length_a 3.6081
_cell_length_b 3.6047
_cell_length_c 42.0917
_cell_angle_alpha 90.00
_cell_angle_beta 90.00
_cell_angle_gamma 90.00
_space_group_name_H-M_alt 'P 1'
_space_group_IT_number 1
loop_
_space_group_symop_operation_xyz
'x,y,z'
loop_
_atom_site_label
_atom_site_type_symbol
_atom_site_fract_x
_atom_site_fract_y
_atom_site_fract_z
Cu1 Cu 0.2500 0.0000 0.0214
Cu2 Cu 0.2500 0.0000 0.1073
Cu3 Cu 0.2500 0.0000 0.1930
Cu4 Cu 0.2500 0.0000 0.2784
Cu5 Cu 0.2500 0.0000 0.6776
Cu6 Cu 0.2500 0.0000 0.7648
Cu7 Cu 0.2500 0.0000 0.8500
Cu8 Cu 0.2500 0.0000 0.9357
Cu9 Cu 0.2500 0.5000 0.0644
Cu10 Cu 0.2500 0.5000 0.1503
Cu11 Cu 0.2500 0.5000 0.2358
Cu12 Cu 0.2500 0.5000 0.7216
Cu13 Cu 0.2500 0.5000 0.8070
Cu14 Cu 0.2500 0.5000 0.8927
Cu15 Cu 0.2500 0.5000 0.9786
Cu16 Cu 0.7500 0.0000 0.0643
Cu17 Cu 0.7500 0.0000 0.1500
Cu18 Cu 0.7500 0.0000 0.2352
Cu19 Cu 0.7500 0.0000 0.3224
Cu20 Cu 0.7500 0.0000 0.7216
Cu21 Cu 0.7500 0.0000 0.8070
Cu22 Cu 0.7500 0.0000 0.8927
Cu23 Cu 0.7500 0.0000 0.9786
Cu24 Cu 0.7500 0.5000 0.0214
Cu25 Cu 0.7500 0.5000 0.1073
Cu26 Cu 0.7500 0.5000 0.1930
Cu27 Cu 0.7500 0.5000 0.2784
Cu28 Cu 0.7500 0.5000 0.7642
Cu29 Cu 0.7500 0.5000 0.8497
Cu30 Cu 0.7500 0.5000 0.9356
As1 As 0.2500 0.5000 0.3242
As2 As 0.7500 0.5000 0.6758
```

=====

Diffraction record for Cu15As. The PXRD pattern is simulated, not measured: it uses a crystal structure in OQMD, relaxed with PBE and Cu Kα (λ = 1.5418 Å).
Neutral-atom scattering factors, no anomalous dispersion.

Largest 10 diffraction maxima, sorted by position, 15° ≤ 2θ ≤ 90°:
41.47°, I = 33; 43.39°, I = 100; 43.78°, I = 68; 48.47°, I = 20; 50.53°, I = 41; 51.20°, I = 21; 73.16°, I = 11; 74.80°, I = 28; 87.48°, I = 10; 89.81°, I = 17

Crystal structure
```
data_Cu15As
_cell_length_a 7.1365
_cell_length_b 2.5727
_cell_length_c 32.9783
_cell_angle_alpha 90.00
_cell_angle_beta 90.01
_cell_angle_gamma 90.00
_space_group_name_H-M_alt 'P 1'
_space_group_IT_number 1
loop_
_space_group_symop_operation_xyz
'x,y,z'
loop_
_atom_site_label
_atom_site_type_symbol
_atom_site_fract_x
_atom_site_fract_y
_atom_site_fract_z
Cu1 Cu 0.1251 0.2500 0.0584
Cu2 Cu 0.1249 0.2500 0.1366
Cu3 Cu 0.1247 0.2500 0.2147
Cu4 Cu 0.1253 0.2500 0.2906
Cu5 Cu 0.1245 0.2500 0.8243
Cu6 Cu 0.1253 0.2500 0.9024
Cu7 Cu 0.1252 0.2500 0.9804
Cu8 Cu 0.1256 0.2500 0.7449
Cu9 Cu 0.3751 0.7500 0.0194
Cu10 Cu 0.3753 0.7500 0.0976
Cu11 Cu 0.3745 0.7500 0.1757
Cu12 Cu 0.3754 0.7500 0.2548
Cu13 Cu 0.3747 0.7500 0.7853
Cu14 Cu 0.3750 0.7500 0.8630
Cu15 Cu 0.3751 0.7500 0.9413
Cu16 Cu 0.6249 0.2500 0.0587
Cu17 Cu 0.6250 0.2500 0.1370
Cu18 Cu 0.6253 0.2500 0.2147
Cu19 Cu 0.6246 0.2500 0.7452
Cu20 Cu 0.6255 0.2500 0.8243
Cu21 Cu 0.6247 0.2500 0.9024
Cu22 Cu 0.6249 0.2500 0.9806
Cu23 Cu 0.8744 0.7500 0.2551
Cu24 Cu 0.8748 0.7500 0.0196
Cu25 Cu 0.8747 0.7500 0.0976
Cu26 Cu 0.8755 0.7500 0.1757
Cu27 Cu 0.8747 0.7500 0.7094
Cu28 Cu 0.8753 0.7500 0.7853
Cu29 Cu 0.8751 0.7500 0.8634
Cu30 Cu 0.8749 0.7500 0.9416
As1 As 0.3757 0.7500 0.7045
As2 As 0.6243 0.2500 0.2955
```